No. 1
The following is a computed powder X-ray diffraction pattern of MgCoNi4O8. It was derived from the GGA+U geometry in the Materials Project, using Cu Ka.
Neutral-atom scattering factors, no anomalous dispersion.

Principal peaks in the range 15° ≤ 2θ ≤ 90°, by angle:
2theta, I (rel.)
17.0, 100
17.5, 22
38.2, 50
42.0, 35
48.1, 44
63.8, 17

Atomic structure:
Lattice parameters (Å, degrees): 5.882 5.882 5.283 97.18 97.18 60.01
Element x y z (fractional)
Mg  0.000  0.000  0.000
Co  0.146  0.146  0.566
Ni  0.146  0.647  0.563
Ni  0.290  0.290  0.124
Ni  0.646  0.646  0.566
Ni  0.647  0.146  0.563
O  0.299  0.848  0.762
O  0.315  0.315  0.779
O  0.441  0.996  0.369
O  0.453  0.453  0.382
O  0.837  0.837  0.745
O  0.848  0.299  0.762
O  0.979  0.979  0.354
O  0.996  0.441  0.369

---

No. 2
The following is a computed powder X-ray diffraction pattern of MgCo5NiO12. It was derived from the GGA+U geometry in the Materials Project, using Cu Ka.
Neutral-atom scattering factors, no anomalous dispersion.

Principal peaks in the range 15° ≤ 2θ ≤ 90°, by angle:
2theta, I (rel.)
18.0, 100
37.4, 15
38.7, 21
44.8, 14
48.0, 15
58.2, 10

Atomic structure:
Lattice parameters (Å, degrees): 4.885 4.885 9.933 94.05 94.05 119.17
Element x y z (fractional)
Mg  0.000  0.000  0.000
Co  0.059  0.728  0.253
Co  0.253  0.587  0.750
Co  0.587  0.253  0.750
Co  0.728  0.059  0.253
Co  0.917  0.917  0.733
Ni  0.396  0.396  0.253
O  0.030  0.354  0.150
O  0.059  0.059  0.353
O  0.237  0.895  0.653
O  0.265  0.265  0.849
O  0.354  0.030  0.150
O  0.423  0.759  0.346
O  0.547  0.547  0.655
O  0.630  0.947  0.849
O  0.727  0.727  0.142
O  0.759  0.423  0.346
O  0.895  0.237  0.653
O  0.947  0.630  0.849

---

No. 3
The following is a computed powder X-ray diffraction pattern of MgCo4Ni2O8. It was derived from the GGA+U geometry in the Materials Project, using Cu Ka.
Neutral-atom scattering factors, no anomalous dispersion.

Principal peaks in the range 15° ≤ 2θ ≤ 90°, by angle:
2theta, I (rel.)
30.7, 36
34.6, 45
35.0, 100
35.7, 95
42.2, 68
63.8, 44

Atomic structure:
Lattice parameters (Å, degrees): 5.834 5.834 6.250 118.90 118.90 60.73
Element x y z (fractional)
Mg  0.000  0.000  0.000
Co  0.000  0.500  0.000
Co  0.146  0.146  0.465
Co  0.500  0.000  0.000
Co  0.854  0.854  0.535
Ni  0.500  0.500  0.000
Ni  0.500  0.500  0.500
O  0.236  0.737  0.231
O  0.247  0.247  0.261
O  0.263  0.764  0.769
O  0.266  0.266  0.828
O  0.734  0.734  0.172
O  0.737  0.236  0.231
O  0.753  0.753  0.739
O  0.764  0.263  0.769

---

No. 4
The following is a computed powder X-ray diffraction pattern of MgCo4Ni2O8. It was derived from the GGA+U geometry in the Materials Project, using Cu Ka.
Neutral-atom scattering factors, no anomalous dispersion.

Principal peaks in the range 15° ≤ 2θ ≤ 90°, by angle:
2theta, I (rel.)
18.7, 39
33.6, 48
35.5, 100
47.9, 31
54.2, 32
63.7, 38

Atomic structure:
Lattice parameters (Å, degrees): 5.960 5.960 5.960 121.32 114.52 93.74
Element x y z (fractional)
Mg  0.000  0.000  0.000
Co  0.311  0.311  0.000
Co  0.349  0.849  0.500
Co  0.750  0.013  0.263
Co  0.750  0.487  0.737
Ni  0.282  0.553  0.729
Ni  0.824  0.553  0.271
O  0.125  0.400  0.275
O  0.125  0.850  0.725
O  0.513  0.283  0.770
O  0.513  0.742  0.230
O  0.606  0.295  0.311
O  0.612  0.798  0.814
O  0.984  0.295  0.689
O  0.984  0.798  0.186